Diffraction record for FeC5O5. The powder diffractogram is simulated, not measured: it uses a structure optimized by DFT (GGA+U) and Cu Kα (weighted mean of Kα1 and Kα2).

Most intense lines, 10 to 90 degrees two-theta, most intense first:
- 16.05 deg, I 100
- 15.18 deg, I 71
- 30.57 deg, I 67
- 25.77 deg, I 65
- 18.65 deg, I 56
- 18.83 deg, I 45
- 25.14 deg, I 41
- 26.87 deg, I 39
- 44.65 deg, I 32
- 27.81 deg, I 29

Atomic structure:
```
22
Lattice="6.1450 -3.5449 0.0000 6.1450 3.5449 0.0000 -3.1083 0.0000 9.4261" Properties=species:S:1:pos:R:3 pbc="T T T"
Fe 3.8138 2.3419 7.0696
Fe 5.3679 -2.3419 2.3565
C 2.0935 2.3621 7.6518
C 5.3679 2.9539 2.3565
C 3.3210 1.4093 5.6232
C 5.5340 2.3621 6.4874
C 4.3065 1.4093 8.5159
C 4.8752 -1.4093 0.9102
C 3.6477 -2.3621 2.9387
C 5.8607 -1.4093 3.8029
C 3.8138 -2.9539 7.0696
C 7.0882 -2.3621 1.7743
O 2.0366 1.1610 1.4020
O 5.3679 1.7935 2.3565
O 3.0005 0.8085 4.6838
O 0.4824 -1.1610 6.1151
O 1.4463 -0.8085 9.3968
O 7.7354 0.8085 0.0293
O 8.6992 1.1610 3.3110
O 6.1812 -0.8085 4.7423
O 3.8138 -1.7935 7.0696
O 7.1451 -1.1610 8.0241
```